This entry pairs a crystal structure of Ac12Co4Ni with its simulated powder X-ray diffraction pattern. Radiation: Cu Kα (λ = 1.5418 Å). Structure: a structure optimized by DFT (GGA-PBE).
Neutral-atom scattering factors, no anomalous dispersion.

Cell and atoms:
```
Ac12Co4Ni
1.0
-5.422 5.448 5.448
5.422 -5.448 5.448
5.422 5.448 -5.448
Ac Co Ni
12 4 1
Direct
0.019 0.201 0.818 Ac
0.180 0.296 0.476 Ac
0.180 0.704 0.885 Ac
0.317 0.007 0.690 Ac
0.317 0.626 0.310 Ac
0.383 0.201 0.182 Ac
0.617 0.799 0.818 Ac
0.683 0.374 0.690 Ac
0.683 0.993 0.310 Ac
0.820 0.296 0.115 Ac
0.820 0.704 0.524 Ac
0.981 0.799 0.182 Ac
0.000 0.000 0.500 Co
0.000 0.500 0.000 Co
0.500 0.000 0.000 Co
0.500 0.500 0.500 Co
0.000 0.000 0.000 Ni
```

Main lines, in order of rising 2θ (10° ≤ 2θ ≤ 90°):
2θ = 16.3°, intensity 26.9
2θ = 25.9°, intensity 86.5
2θ = 26.0°, intensity 46.0
2θ = 28.4°, intensity 38.3
2θ = 30.7°, intensity 100.0
2θ = 36.9°, intensity 18.7
2θ = 38.8°, intensity 19.3
2θ = 48.8°, intensity 48.4
2θ = 48.9°, intensity 19.8
2θ = 51.8°, intensity 33.7
2θ = 51.9°, intensity 25.1
2θ = 73.8°, intensity 18.4